This entry pairs a crystal structure of PmSm4Dy5 with its calculated powder XRD pattern. Radiation: Cu Kα X-rays. Structure: a PBE-relaxed structure.

Cell and atoms:
Unit cell a=17.258 b=3.549 c=11.133 alpha=90.00 beta=90.13 gamma=90.00
Space group C2/m (No. 12)
Asymmetric unit:
Pm 0.000 0.000 0.000
Sm 0.029 0.500 0.748
Sm 0.154 0.000 0.250
Dy 0.000 0.000 0.500
Dy 0.173 0.500 0.550
Dy 0.174 0.500 0.946

The 6 most intense peaks (10 to 80 degrees two-theta), sorted by position:
index, Position (°2θ), Rel. int.
2 0 3, 26.14, 200
1 1 1, 26.87, 227
6 0 0, 31.09, 291
4 0 -3, 31.81, 255
0 0 4, 32.15, 239
3 1 2, 33.76, 1000